The following is a theoretical powder diffractogram of SrRuO3. It was derived from a structure optimized by DFT (PBE), using Cu Kα, 1.54184 Å.
No peak broadening, texture or thermal motion is included.

Unit cell a=5.210 b=14.283 c=5.200 alpha=90.00 beta=90.00 gamma=90.00
Atoms (fractional coordinates):
Sr1 0.019 0.250 0.000
Sr2 0.481 0.750 0.500
Sr3 0.519 0.250 0.500
Sr4 0.981 0.750 0.000
Ru1 0.000 0.000 0.000
Ru2 0.000 0.500 0.000
Ru3 0.500 0.000 0.500
Ru4 0.500 0.500 0.500
O1 0.019 0.250 0.498
O2 0.250 0.009 0.751
O3 0.250 0.491 0.751
O4 0.250 0.509 0.251
O5 0.250 0.991 0.251
O6 0.481 0.750 0.998
O7 0.519 0.250 0.002
O8 0.750 0.009 0.749
O9 0.750 0.491 0.749
O10 0.750 0.509 0.249
O11 0.750 0.991 0.249
O12 0.981 0.750 0.502

Peak list (10 most intense, 15 to 90 degrees two-theta, low angle first)
d/Å	I_rel
3.680	100.0
3.571	92.8
2.602	39.7
2.563	77.8
2.103	43.3
1.840	25.1
1.646	19.7
1.636	33.8
1.606	19.5
1.495	28.8

---

The following is a theoretical powder diffractogram of SnO2. It was derived from a structure optimized by DFT (PBE), using Cu Kα, 1.54184 Å.
No peak broadening, texture or thermal motion is included.

Unit cell a=5.175 b=5.175 c=5.175 alpha=90.00 beta=90.00 gamma=90.00
Atoms (fractional coordinates):
Sn1 0.000 0.000 0.000
Sn2 0.000 0.500 0.500
Sn3 0.500 0.000 0.500
Sn4 0.500 0.500 0.000
O1 0.161 0.661 0.839
O2 0.161 0.839 0.339
O3 0.339 0.161 0.839
O4 0.339 0.339 0.339
O5 0.661 0.661 0.661
O6 0.661 0.839 0.161
O7 0.839 0.161 0.661
O8 0.839 0.339 0.161

Peak list (10 most intense, 15 to 90 degrees two-theta, low angle first)
d/Å	I_rel
2.988	100.0
2.588	43.2
2.314	3.3
2.113	1.3
1.830	44.7
1.560	55.7
1.494	13.9
1.294	5.4
1.187	17.7
1.157	22.1

---

The following is a theoretical powder diffractogram of LiAl2H4Pb2O4F6. It was derived from a structure optimized by DFT (PBE), using Cu Kα, 1.54184 Å.
No peak broadening, texture or thermal motion is included.

Unit cell a=5.085 b=6.423 c=7.589 alpha=108.10 beta=94.95 gamma=103.18
Atoms (fractional coordinates):
Li1 0.000 0.000 0.000
Al1 0.175 0.692 0.156
Al2 0.825 0.308 0.844
H1 0.162 0.271 0.634
H2 0.308 0.341 0.009
H3 0.692 0.659 0.991
H4 0.838 0.729 0.366
Pb1 0.340 0.717 0.630
Pb2 0.660 0.283 0.370
O1 0.025 0.359 0.652
O2 0.134 0.374 0.041
O3 0.866 0.626 0.959
O4 0.975 0.641 0.348
F1 0.158 0.992 0.229
F2 0.407 0.755 0.993
F3 0.490 0.769 0.328
F4 0.510 0.231 0.672
F5 0.593 0.245 0.007
F6 0.842 0.008 0.771

Peak list (10 most intense, 15 to 90 degrees two-theta, low angle first)
d/Å	I_rel
5.554	66.9
4.378	100.0
3.738	56.3
3.640	80.5
3.570	75.2
3.339	63.2
3.138	53.2
2.940	60.3
2.666	64.9
2.439	49.6

---

The following is a theoretical powder diffractogram of Li3La. It was derived from a structure optimized by DFT (PBE), using Cu Kα, 1.54184 Å.
No peak broadening, texture or thermal motion is included.

Unit cell a=7.446 b=7.446 c=7.446 alpha=90.00 beta=90.00 gamma=90.00
Atoms (fractional coordinates):
Li1 0.000 0.000 0.000
Li2 0.000 0.500 0.500
Li3 0.250 0.250 0.250
Li4 0.250 0.250 0.750
Li5 0.250 0.750 0.250
Li6 0.250 0.750 0.750
Li7 0.500 0.000 0.500
Li8 0.500 0.500 0.000
Li9 0.750 0.250 0.250
Li10 0.750 0.250 0.750
Li11 0.750 0.750 0.250
Li12 0.750 0.750 0.750
La1 0.000 0.000 0.500
La2 0.000 0.500 0.000
La3 0.500 0.000 0.000
La4 0.500 0.500 0.500

Peak list (10 most intense, 15 to 90 degrees two-theta, low angle first)
d/Å	I_rel
4.299	100.0
3.723	52.8
2.633	56.8
2.245	54.0
2.150	15.8
1.708	23.2
1.665	21.3
1.520	21.0
1.433	17.2
1.259	16.7

---

The following is a theoretical powder diffractogram of P3Pb5BrO12. It was derived from a structure optimized by DFT (PBE), using Cu Kα, 1.54184 Å.
No peak broadening, texture or thermal motion is included.

Unit cell a=10.203 b=10.203 c=7.434 alpha=90.00 beta=90.00 gamma=120.00
Atoms (fractional coordinates):
P1 0.035 0.410 0.000
P2 0.375 0.965 0.000
P3 0.410 0.375 0.500
P4 0.590 0.625 0.000
P5 0.625 0.035 0.500
P6 0.965 0.590 0.500
Pb1 0.008 0.746 0.999
Pb2 0.254 0.262 0.999
Pb3 0.262 0.008 0.499
Pb4 0.333 0.667 0.254
Pb5 0.333 0.667 0.746
Pb6 0.667 0.333 0.246
Pb7 0.667 0.333 0.754
Pb8 0.738 0.992 0.999
Pb9 0.746 0.738 0.499
Pb10 0.992 0.254 0.499
Br1 0.000 0.000 0.240
Br2 0.000 0.000 0.740
O1 0.091 0.362 0.831
O2 0.092 0.363 0.169
O3 0.121 0.590 0.000
O4 0.138 0.654 0.500
O5 0.271 0.908 0.169
O6 0.271 0.909 0.831
O7 0.346 0.484 0.500
O8 0.362 0.271 0.331
O9 0.363 0.271 0.669
O10 0.410 0.532 0.000
O11 0.468 0.879 0.000
O12 0.484 0.138 0.000
O13 0.516 0.862 0.500
O14 0.532 0.121 0.500
O15 0.590 0.468 0.500
O16 0.637 0.729 0.169
O17 0.638 0.729 0.831
O18 0.654 0.516 0.000
O19 0.729 0.091 0.331
O20 0.729 0.092 0.669
O21 0.862 0.346 0.000
O22 0.879 0.410 0.500
O23 0.908 0.637 0.669
O24 0.909 0.638 0.331

Peak list (10 most intense, 15 to 90 degrees two-theta, low angle first)
d/Å	I_rel
4.206	40.5
3.340	19.8
3.046	72.5
3.004	100.0
2.945	57.6
2.103	38.4
1.990	22.5
1.956	22.9
1.928	22.7
1.899	24.6

---

The following is a theoretical powder diffractogram of Al2Cu3Se6. It was derived from a structure optimized by DFT (PBE), using Cu Kα, 1.54184 Å.
No peak broadening, texture or thermal motion is included.

Unit cell a=17.278 b=17.278 c=17.278 alpha=161.75 beta=161.75 gamma=25.92
Atoms (fractional coordinates):
Al1 0.169 0.169 0.000
Al2 0.581 0.081 0.500
Al3 0.831 0.831 0.000
Al4 0.919 0.419 0.500
Cu1 0.000 0.000 0.000
Cu2 0.081 0.581 0.500
Cu3 0.331 0.331 0.000
Cu4 0.419 0.919 0.500
Cu5 0.669 0.669 0.000
Cu6 0.750 0.250 0.500
Se1 0.049 0.035 0.504
Se2 0.131 0.625 0.006
Se3 0.219 0.215 0.515
Se4 0.296 0.781 0.996
Se5 0.375 0.381 0.506
Se6 0.454 0.951 0.985
Se7 0.531 0.546 0.496
Se8 0.619 0.125 0.994
Se9 0.701 0.704 0.485
Se10 0.785 0.299 0.004
Se11 0.875 0.869 0.494
Se12 0.965 0.469 0.015

Peak list (10 most intense, 15 to 90 degrees two-theta, low angle first)
d/Å	I_rel
4.924	10.6
3.189	100.0
1.960	44.4
1.937	21.5
1.685	14.8
1.656	28.8
1.370	6.6
1.271	11.4
1.136	7.0
1.123	13.9

---

The following is a theoretical powder diffractogram of KMo3S3. It was derived from a structure optimized by DFT (PBE), using Cu Kα, 1.54184 Å.
No peak broadening, texture or thermal motion is included.

Unit cell a=9.001 b=9.001 c=4.455 alpha=90.00 beta=90.00 gamma=120.00
Atoms (fractional coordinates):
K1 0.333 0.667 0.250
K2 0.667 0.333 0.750
Mo1 0.034 0.186 0.250
Mo2 0.152 0.966 0.250
Mo3 0.186 0.152 0.750
Mo4 0.814 0.848 0.250
Mo5 0.848 0.034 0.750
Mo6 0.966 0.814 0.750
S1 0.065 0.348 0.750
S2 0.283 0.935 0.750
S3 0.348 0.283 0.250
S4 0.652 0.717 0.750
S5 0.717 0.065 0.250
S6 0.935 0.652 0.250

Peak list (10 most intense, 15 to 90 degrees two-theta, low angle first)
d/Å	I_rel
2.946	45.1
2.458	100.0
2.245	19.9
2.228	39.4
2.162	21.6
2.142	34.8
2.009	67.2
1.945	66.6
1.777	19.0
1.660	23.8

---

The following is a theoretical powder diffractogram of Te4Mo3WSe2S2. It was derived from a structure optimized by DFT (PBE), using Cu Kα, 1.54184 Å.
No peak broadening, texture or thermal motion is included.

Unit cell a=3.400 b=3.400 c=38.764 alpha=90.00 beta=90.00 gamma=120.00
Atoms (fractional coordinates):
Te1 0.000 0.000 0.000
Te2 0.000 0.000 0.097
Te3 0.333 0.667 0.812
Te4 0.333 0.667 0.909
Mo1 0.000 0.000 0.485
Mo2 0.333 0.667 0.048
Mo3 0.333 0.667 0.672
W1 0.000 0.000 0.860
Se1 0.333 0.667 0.442
Se2 0.333 0.667 0.527
S1 0.000 0.000 0.634
S2 0.000 0.000 0.711

Peak list (10 most intense, 15 to 90 degrees two-theta, low angle first)
d/Å	I_rel
2.942	56.6
2.600	14.6
2.516	100.0
2.431	18.3
2.345	13.6
2.095	56.7
2.017	17.6
1.700	38.7
1.409	15.9
1.250	17.1

---

The following is a theoretical powder diffractogram of CeSe2. It was derived from a structure optimized by DFT (PBE), using Cu Kα, 1.54184 Å.
No peak broadening, texture or thermal motion is included.

Unit cell a=13.870 b=13.870 c=13.870 alpha=151.20 beta=148.45 gamma=43.24
Atoms (fractional coordinates):
Ce1 0.061 0.811 0.250
Ce2 0.189 0.439 0.750
Ce3 0.311 0.061 0.250
Ce4 0.439 0.689 0.750
Se1 0.059 0.250 0.309
Se2 0.200 0.888 0.834
Se3 0.250 0.577 0.327
Se4 0.300 0.134 0.688
Se5 0.441 0.750 0.191
Se6 0.555 0.366 0.666
Se7 0.750 0.923 0.173
Se8 0.945 0.612 0.812

Peak list (10 most intense, 15 to 90 degrees two-theta, low angle first)
d/Å	I_rel
5.380	32.5
3.995	100.0
2.785	16.5
2.545	21.8
2.450	22.4
2.355	23.7
2.218	14.1
2.082	13.5
1.980	15.8
1.914	13.9

---

The following is a theoretical powder diffractogram of Ti2VTe4. It was derived from a structure optimized by DFT (PBE), using Cu Kα, 1.54184 Å.
No peak broadening, texture or thermal motion is included.

Unit cell a=14.275 b=3.881 c=6.990 alpha=90.00 beta=118.59 gamma=90.00
Atoms (fractional coordinates):
Ti1 0.000 0.000 0.000
Ti2 0.247 0.000 0.291
Ti3 0.500 0.500 0.000
Ti4 0.747 0.500 0.291
V1 0.000 0.500 0.588
V2 0.500 0.000 0.588
Te1 0.114 0.500 0.331
Te2 0.140 0.000 0.839
Te3 0.358 0.000 0.742
Te4 0.387 0.500 0.264
Te5 0.614 0.000 0.331
Te6 0.640 0.500 0.839
Te7 0.858 0.500 0.742
Te8 0.887 0.000 0.264

Peak list (10 most intense, 15 to 90 degrees two-theta, low angle first)
d/Å	I_rel
3.134	25.5
3.069	36.8
3.036	50.2
2.992	100.0
2.976	57.3
2.349	25.6
2.309	28.2
2.295	33.5
1.998	50.3
1.941	25.7

---

The following is a theoretical powder diffractogram of Cd3Pt. It was derived from a structure optimized by DFT (PBE), using Cu Kα, 1.54184 Å.
No peak broadening, texture or thermal motion is included.

Unit cell a=5.999 b=5.999 c=4.948 alpha=90.00 beta=90.00 gamma=120.00
Atoms (fractional coordinates):
Cd1 0.171 0.342 0.250
Cd2 0.171 0.829 0.250
Cd3 0.342 0.171 0.750
Cd4 0.658 0.829 0.250
Cd5 0.829 0.171 0.750
Cd6 0.829 0.658 0.750
Pt1 0.333 0.667 0.750
Pt2 0.667 0.333 0.250

Peak list (10 most intense, 15 to 90 degrees two-theta, low angle first)
d/Å	I_rel
5.196	4.4
3.583	5.2
2.598	23.6
2.474	27.6
2.300	100.0
1.792	15.4
1.500	16.7
1.392	19.6
1.283	19.7
1.256	13.8